Entry 1:
Pr4Ge2BrCl: theoretical powder diffraction line list (λ = 1.5418 Å (Cu Kα)), based on a cell relaxed with GGA-PBE.
Kinematic intensities with the Lorentz-polarization factor, no thermal factor.

The 10 most intense peaks (10° ≤ 2θ ≤ 90°), by angle:
25.5°, I 36; 29.4°, I 100; 29.9°, I 48; 42.1°, I 37; 42.4°, I 73; 52.4°, I 39; 69.2°, I 17; 69.4°, I 17; 70.1°, I 16; 77.1°, I 25

Crystal structure
```
data_Pr4Ge2BrCl
_chemical_formula_sum 'Pr4 Ge2 Br1 Cl1'
_space_group_name_H-M_alt 'P 1'
_space_group_IT_number 1
_space_group_name_Hall 'P 1'
_cell_length_a 7.3652
_cell_length_b 7.3652
_cell_length_c 7.3652
_cell_angle_alpha 131.29
_cell_angle_beta 131.29
_cell_angle_gamma 71.35
loop_
_atom_site_label
_atom_site_fract_x
_atom_site_fract_y
_atom_site_fract_z
Pr1 0.0000 0.5000 0.5000
Pr2 0.2466 0.2466 0.0000
Pr3 0.5000 0.0000 0.5000
Pr4 0.7534 0.7534 0.0000
Ge1 0.2500 0.7500 0.5000
Ge2 0.7500 0.2500 0.5000
Br1 0.5000 0.5000 0.0000
Cl1 0.0000 0.0000 0.0000
```

***

Entry 2:
Tl2GeBr2Cl4: theoretical powder diffraction line list (λ = 1.5418 Å (Cu Kα)), based on a cell relaxed with GGA-PBE.
Kinematic intensities with the Lorentz-polarization factor, no thermal factor.

The 10 most intense peaks (10° ≤ 2θ ≤ 90°), by angle:
17.1°, I 27; 24.6°, I 41; 24.9°, I 51; 30.4°, I 100; 34.6°, I 27; 35.5°, I 50; 43.1°, I 25; 43.6°, I 18; 50.4°, I 36; 60.6°, I 25

Crystal structure
```
data_Tl2GeBr2Cl4
_chemical_formula_sum 'Tl2 Ge1 Br2 Cl4'
_space_group_name_H-M_alt 'P 1'
_space_group_IT_number 1
_space_group_name_Hall 'P 1'
_cell_length_a 7.2412
_cell_length_b 7.2412
_cell_length_c 7.2412
_cell_angle_alpha 120.76
_cell_angle_beta 120.76
_cell_angle_gamma 88.68
loop_
_atom_site_label
_atom_site_fract_x
_atom_site_fract_y
_atom_site_fract_z
Tl1 0.2500 0.7500 0.5000
Tl2 0.7500 0.2500 0.5000
Ge1 0.0000 0.0000 0.0000
Br1 0.2432 0.2432 0.0000
Br2 0.7568 0.7568 0.0000
Cl1 0.2300 0.2300 0.4601
Cl2 0.2300 0.7700 0.0000
Cl3 0.7700 0.2300 0.0000
Cl4 0.7700 0.7700 0.5399
```

***

Entry 3:
H3BrCl: theoretical powder diffraction line list (λ = 1.5418 Å (Cu Kα)), based on a cell relaxed with GGA-PBE.
Kinematic intensities with the Lorentz-polarization factor, no thermal factor.

The 10 most intense peaks (10° ≤ 2θ ≤ 90°), by angle:
23.6°, I 20; 33.6°, I 100; 41.5°, I 5; 48.3°, I 18; 54.5°, I 9; 60.2°, I 34; 70.7°, I 11; 75.7°, I 4; 80.6°, I 15; 85.5°, I 2

Crystal structure
```
data_H3BrCl
_chemical_formula_sum 'H3 Br1 Cl1'
_space_group_name_H-M_alt 'P 1'
_space_group_IT_number 1
_space_group_name_Hall 'P 1'
_cell_length_a 3.7678
_cell_length_b 3.7678
_cell_length_c 3.7678
_cell_angle_alpha 90.00
_cell_angle_beta 90.00
_cell_angle_gamma 90.00
loop_
_atom_site_label
_atom_site_fract_x
_atom_site_fract_y
_atom_site_fract_z
H1 0.0000 0.0000 0.5000
H2 0.0000 0.5000 0.0000
H3 0.5000 0.0000 0.0000
Br1 0.0000 0.0000 0.0000
Cl1 0.5000 0.5000 0.5000
```

***

Entry 4:
K6H2BrCl3: theoretical powder diffraction line list (λ = 1.5418 Å (Cu Kα)), based on a cell relaxed with GGA-PBE.
Kinematic intensities with the Lorentz-polarization factor, no thermal factor.

The 10 most intense peaks (10° ≤ 2θ ≤ 90°), by angle:
20.6°, I 13; 28.4°, I 100; 28.6°, I 49; 40.6°, I 17; 40.7°, I 84; 50.3°, I 16; 50.5°, I 17; 66.7°, I 13; 66.9°, I 12; 74.1°, I 12

Crystal structure
```
data_K6H2BrCl3
_chemical_formula_sum 'K6 H2 Br1 Cl3'
_space_group_name_H-M_alt 'P 1'
_space_group_IT_number 1
_space_group_name_Hall 'P 1'
_cell_length_a 9.8904
_cell_length_b 9.8904
_cell_length_c 8.8975
_cell_angle_alpha 103.04
_cell_angle_beta 103.04
_cell_angle_gamma 25.88
loop_
_atom_site_label
_atom_site_fract_x
_atom_site_fract_y
_atom_site_fract_z
K1 0.0068 0.0068 0.2642
K2 0.3275 0.3275 0.4272
K3 0.3288 0.3288 0.9019
K4 0.6712 0.6712 0.0981
K5 0.6725 0.6725 0.5728
K6 0.9932 0.9932 0.7358
H1 0.1709 0.1709 0.3414
H2 0.8291 0.8291 0.6586
Br1 0.5000 0.5000 0.0000
Cl1 0.1650 0.1650 0.8294
Cl2 0.5000 0.5000 0.5000
Cl3 0.8350 0.8350 0.1706
```

***

Entry 5:
K4HBrCl2: theoretical powder diffraction line list (λ = 1.5418 Å (Cu Kα)), based on a cell relaxed with GGA-PBE.
Kinematic intensities with the Lorentz-polarization factor, no thermal factor.

The 10 most intense peaks (10° ≤ 2θ ≤ 90°), by angle:
12.0°, I 10; 13.9°, I 11; 19.7°, I 10; 23.2°, I 11; 28.1°, I 100; 40.1°, I 46; 40.2°, I 23; 49.7°, I 17; 65.7°, I 18; 72.9°, I 13

Crystal structure
```
data_K4HBrCl2
_chemical_formula_sum 'K4 H1 Br1 Cl2'
_space_group_name_H-M_alt 'P 1'
_space_group_IT_number 1
_space_group_name_Hall 'P 1'
_cell_length_a 7.7721
_cell_length_b 4.4938
_cell_length_c 7.7921
_cell_angle_alpha 90.00
_cell_angle_beta 109.33
_cell_angle_gamma 90.00
loop_
_atom_site_label
_atom_site_fract_x
_atom_site_fract_y
_atom_site_fract_z
K1 0.2448 0.0000 0.2371
K2 0.2502 0.5000 0.7658
K3 0.7498 0.5000 0.2342
K4 0.7552 0.0000 0.7629
H1 0.0000 0.5000 0.0000
Br1 0.0000 0.0000 0.5000
Cl1 0.5000 0.0000 0.0000
Cl2 0.5000 0.5000 0.5000
```

***

Entry 6:
LiHBrCl: theoretical powder diffraction line list (λ = 1.5418 Å (Cu Kα)), based on a cell relaxed with GGA-PBE.
Kinematic intensities with the Lorentz-polarization factor, no thermal factor.

The 10 most intense peaks (10° ≤ 2θ ≤ 90°), by angle:
13.3°, I 29; 26.0°, I 100; 26.8°, I 48; 28.2°, I 37; 29.0°, I 35; 32.5°, I 25; 32.7°, I 25; 42.0°, I 12; 45.2°, I 22; 48.6°, I 16

Crystal structure
```
data_LiHBrCl
_chemical_formula_sum 'Li1 H1 Br1 Cl1'
_space_group_name_H-M_alt 'P 1'
_space_group_IT_number 1
_space_group_name_Hall 'P 1'
_cell_length_a 4.0773
_cell_length_b 4.0806
_cell_length_c 6.9614
_cell_angle_alpha 99.88
_cell_angle_beta 96.66
_cell_angle_gamma 119.88
loop_
_atom_site_label
_atom_site_fract_x
_atom_site_fract_y
_atom_site_fract_z
Li1 0.0000 0.0000 0.0000
H1 0.6266 0.0758 0.6950
Br1 0.7145 0.8427 0.5510
Cl1 0.6747 0.3471 0.0216
```

***

Entry 7:
UHBrCl: theoretical powder diffraction line list (λ = 1.5418 Å (Cu Kα)), based on a cell relaxed with GGA-PBE.
Kinematic intensities with the Lorentz-polarization factor, no thermal factor.

The 10 most intense peaks (10° ≤ 2θ ≤ 90°), by angle:
11.9°, I 100; 27.4°, I 44; 28.3°, I 22; 31.6°, I 54; 33.9°, I 46; 39.4°, I 22; 42.5°, I 24; 47.9°, I 24; 49.6°, I 18; 70.9°, I 14

Crystal structure
```
data_UHBrCl
_chemical_formula_sum 'U1 H1 Br1 Cl1'
_space_group_name_H-M_alt 'P 1'
_space_group_IT_number 1
_space_group_name_Hall 'P 1'
_cell_length_a 3.7961
_cell_length_b 3.7961
_cell_length_c 7.7617
_cell_angle_alpha 104.22
_cell_angle_beta 104.22
_cell_angle_gamma 60.00
loop_
_atom_site_label
_atom_site_fract_x
_atom_site_fract_y
_atom_site_fract_z
U1 0.0000 0.0000 0.0000
H1 0.3345 0.3345 0.0034
Br1 0.7577 0.7577 0.2721
Cl1 0.5845 0.5845 0.7546
```

***

Entry 8:
HfBrCl: theoretical powder diffraction line list (λ = 1.5418 Å (Cu Kα)), based on a cell relaxed with GGA-PBE.
Kinematic intensities with the Lorentz-polarization factor, no thermal factor.

The 10 most intense peaks (10° ≤ 2θ ≤ 90°), by angle:
11.7°, I 100; 30.4°, I 28; 31.2°, I 11; 34.1°, I 37; 36.2°, I 29; 41.2°, I 21; 44.1°, I 22; 53.5°, I 15; 55.0°, I 12; 74.7°, I 11

Crystal structure
```
data_HfBrCl
_chemical_formula_sum 'Hf1 Br1 Cl1'
_space_group_name_H-M_alt 'P 1'
_space_group_IT_number 1
_space_group_name_Hall 'P 1'
_cell_length_a 7.8413
_cell_length_b 7.8413
_cell_length_c 7.8413
_cell_angle_alpha 25.22
_cell_angle_beta 25.22
_cell_angle_gamma 25.22
loop_
_atom_site_label
_atom_site_fract_x
_atom_site_fract_y
_atom_site_fract_z
Hf1 0.0000 0.0000 0.0000
Br1 0.7486 0.7486 0.7486
Cl1 0.5919 0.5919 0.5919
```

***

Entry 9:
HfIn2Br5Cl: theoretical powder diffraction line list (λ = 1.5418 Å (Cu Kα)), based on a cell relaxed with GGA-PBE.
Kinematic intensities with the Lorentz-polarization factor, no thermal factor.

The 10 most intense peaks (10° ≤ 2θ ≤ 90°), by angle:
14.2°, I 90; 15.9°, I 41; 23.0°, I 54; 27.6°, I 32; 28.5°, I 84; 32.1°, I 27; 33.5°, I 100; 36.3°, I 33; 47.1°, I 37; 48.2°, I 35

Crystal structure
```
data_HfIn2Br5Cl
_chemical_formula_sum 'Hf1 In2 Br5 Cl1'
_space_group_name_H-M_alt 'P 1'
_space_group_IT_number 1
_space_group_name_Hall 'P 1'
_cell_length_a 7.7240
_cell_length_b 7.7240
_cell_length_c 7.7240
_cell_angle_alpha 121.41
_cell_angle_beta 121.41
_cell_angle_gamma 87.58
loop_
_atom_site_label
_atom_site_fract_x
_atom_site_fract_y
_atom_site_fract_z
Hf1 0.0000 0.0000 0.0000
In1 0.1816 0.6816 0.5000
In2 0.6816 0.1816 0.5000
Br1 0.2353 0.2353 0.0000
Br2 0.2520 0.2520 0.4929
Br3 0.2520 0.7592 0.0000
Br4 0.7592 0.2520 0.0000
Br5 0.7592 0.7592 0.5071
Cl1 0.7832 0.7832 0.0000
```

***

Entry 10:
Rb2HfBr5Cl: theoretical powder diffraction line list (λ = 1.5418 Å (Cu Kα)), based on a cell relaxed with GGA-PBE.
Kinematic intensities with the Lorentz-polarization factor, no thermal factor.

The 10 most intense peaks (10° ≤ 2θ ≤ 90°), by angle:
14.1°, I 100; 23.2°, I 39; 27.1°, I 29; 28.4°, I 88; 32.8°, I 95; 33.2°, I 46; 47.0°, I 33; 47.3°, I 65; 55.9°, I 23; 58.8°, I 34

Crystal structure
```
data_Rb2HfBr5Cl
_chemical_formula_sum 'Rb2 Hf1 Br5 Cl1'
_space_group_name_H-M_alt 'P 1'
_space_group_IT_number 1
_space_group_name_Hall 'P 1'
_cell_length_a 7.6814
_cell_length_b 7.6814
_cell_length_c 7.6814
_cell_angle_alpha 119.62
_cell_angle_beta 119.62
_cell_angle_gamma 90.66
loop_
_atom_site_label
_atom_site_fract_x
_atom_site_fract_y
_atom_site_fract_z
Rb1 0.0000 0.5000 0.5000
Rb2 0.5000 0.0000 0.5000
Hf1 0.2486 0.2486 0.0000
Br1 0.0099 0.0099 0.5186
Br2 0.0099 0.4913 0.0000
Br3 0.4913 0.0099 0.0000
Br4 0.4913 0.4913 0.4814
Br5 0.4921 0.4921 0.0000
Cl1 0.0226 0.0226 0.0000
```

***

Entry 11:
Rb2HfBr4Cl2: theoretical powder diffraction line list (λ = 1.5418 Å (Cu Kα)), based on a cell relaxed with GGA-PBE.
Kinematic intensities with the Lorentz-polarization factor, no thermal factor.

The 10 most intense peaks (10° ≤ 2θ ≤ 90°), by angle:
14.1°, I 61; 14.2°, I 58; 16.7°, I 29; 23.4°, I 68; 27.8°, I 24; 28.5°, I 37; 28.7°, I 39; 32.7°, I 100; 33.9°, I 40; 47.8°, I 57

Crystal structure
```
data_Rb2HfBr4Cl2
_chemical_formula_sum 'Rb2 Hf1 Br4 Cl2'
_space_group_name_H-M_alt 'P 1'
_space_group_IT_number 1
_space_group_name_Hall 'P 1'
_cell_length_a 7.6067
_cell_length_b 7.6067
_cell_length_c 7.7793
_cell_angle_alpha 120.63
_cell_angle_beta 120.63
_cell_angle_gamma 60.83
loop_
_atom_site_label
_atom_site_fract_x
_atom_site_fract_y
_atom_site_fract_z
Rb1 0.2486 0.2486 0.2621
Rb2 0.7514 0.7514 0.7379
Hf1 0.0000 0.0000 0.5000
Br1 0.2191 0.7364 0.2396
Br2 0.2636 0.7809 0.7604
Br3 0.7364 0.2191 0.2396
Br4 0.7809 0.2636 0.7604
Cl1 0.2292 0.2292 0.6866
Cl2 0.7708 0.7708 0.3134
```

***

Entry 12:
HfTl2Br5Cl: theoretical powder diffraction line list (λ = 1.5418 Å (Cu Kα)), based on a cell relaxed with GGA-PBE.
Kinematic intensities with the Lorentz-polarization factor, no thermal factor.

The 10 most intense peaks (10° ≤ 2θ ≤ 90°), by angle:
14.2°, I 46; 23.3°, I 95; 27.4°, I 22; 28.7°, I 85; 33.3°, I 100; 37.3°, I 27; 41.0°, I 48; 47.7°, I 62; 50.8°, I 20; 56.7°, I 24

Crystal structure
```
data_HfTl2Br5Cl
_chemical_formula_sum 'Hf1 Tl2 Br5 Cl1'
_space_group_name_H-M_alt 'P 1'
_space_group_IT_number 1
_space_group_name_Hall 'P 1'
_cell_length_a 7.6255
_cell_length_b 7.6255
_cell_length_c 7.6255
_cell_angle_alpha 120.08
_cell_angle_beta 120.08
_cell_angle_gamma 89.86
loop_
_atom_site_label
_atom_site_fract_x
_atom_site_fract_y
_atom_site_fract_z
Hf1 0.0000 0.0000 0.0000
Tl1 0.2008 0.7008 0.5000
Tl2 0.7008 0.2008 0.5000
Br1 0.2433 0.2433 0.0000
Br2 0.2492 0.2492 0.4887
Br3 0.2492 0.7605 0.0000
Br4 0.7605 0.2492 0.0000
Br5 0.7605 0.7605 0.5113
Cl1 0.7756 0.7756 0.0000
```

***

Entry 13:
HgBr6Cl2: theoretical powder diffraction line list (λ = 1.5418 Å (Cu Kα)), based on a cell relaxed with GGA-PBE.
Kinematic intensities with the Lorentz-polarization factor, no thermal factor.

The 10 most intense peaks (10° ≤ 2θ ≤ 90°), by angle:
11.6°, I 100; 15.0°, I 43; 19.7°, I 32; 20.4°, I 38; 22.7°, I 24; 25.5°, I 37; 27.0°, I 22; 28.0°, I 53; 44.4°, I 21; 45.1°, I 19

Crystal structure
```
data_HgBr6Cl2
_chemical_formula_sum 'Hg1 Br6 Cl2'
_space_group_name_H-M_alt 'P 1'
_space_group_IT_number 1
_space_group_name_Hall 'P 1'
_cell_length_a 4.3572
_cell_length_b 9.2062
_cell_length_c 10.2248
_cell_angle_alpha 75.20
_cell_angle_beta 88.55
_cell_angle_gamma 88.25
loop_
_atom_site_label
_atom_site_fract_x
_atom_site_fract_y
_atom_site_fract_z
Hg1 0.0000 0.0000 0.0000
Br1 0.0649 0.4111 0.2434
Br2 0.1046 0.6602 0.5172
Br3 0.2776 0.7228 0.2745
Br4 0.7224 0.2772 0.7255
Br5 0.8954 0.3398 0.4828
Br6 0.9351 0.5889 0.7566
Cl1 0.3506 0.8779 0.8874
Cl2 0.6494 0.1221 0.1126
```

***

Entry 14:
Hg2Br2Cl: theoretical powder diffraction line list (λ = 1.5418 Å (Cu Kα)), based on a cell relaxed with GGA-PBE.
Kinematic intensities with the Lorentz-polarization factor, no thermal factor.

The 10 most intense peaks (10° ≤ 2θ ≤ 90°), by angle:
12.5°, I 34; 16.8°, I 49; 20.1°, I 40; 25.1°, I 64; 28.3°, I 40; 29.1°, I 100; 31.9°, I 73; 41.0°, I 35; 43.7°, I 66; 65.5°, I 33

Crystal structure
```
data_Hg2Br2Cl
_chemical_formula_sum 'Hg8 Br8 Cl4'
_space_group_name_H-M_alt 'P 1'
_space_group_IT_number 1
_space_group_name_Hall 'P 1'
_cell_length_a 8.3251
_cell_length_b 5.6182
_cell_length_c 13.6524
_cell_angle_alpha 90.00
_cell_angle_beta 90.00
_cell_angle_gamma 90.00
loop_
_atom_site_label
_atom_site_fract_x
_atom_site_fract_y
_atom_site_fract_z
Hg1 0.0719 0.2500 0.2421
Hg2 0.1871 0.2500 0.9292
Hg3 0.3129 0.7500 0.4292
Hg4 0.4281 0.7500 0.7421
Hg5 0.5719 0.2500 0.2579
Hg6 0.6871 0.2500 0.5708
Hg7 0.8129 0.7500 0.0708
Hg8 0.9281 0.7500 0.7579
Br1 0.0678 0.7500 0.2539
Br2 0.1745 0.7500 0.9255
Br3 0.3255 0.2500 0.4255
Br4 0.4322 0.2500 0.7539
Br5 0.5678 0.7500 0.2461
Br6 0.6745 0.7500 0.5745
Br7 0.8255 0.2500 0.0745
Br8 0.9322 0.2500 0.7461
Cl1 0.1687 0.7500 0.6306
Cl2 0.3313 0.2500 0.1306
Cl3 0.6687 0.7500 0.8694
Cl4 0.8313 0.2500 0.3694
```